For TbZr2O4, DFT lattice parameters and positions (PBE) gives the theoretical powder XRD pattern in this record (Cu Kα (weighted mean of Kα1 and Kα2)).
No peak broadening, texture or thermal motion is included.

Structure:
```
data_TbZr2O4
_chemical_formula_sum 'Tb2 Zr4 O8'
_space_group_name_H-M_alt 'P 1'
_space_group_IT_number 1
_cell_length_a 6.5621
_cell_length_b 6.5621
_cell_length_c 6.5621
_cell_angle_alpha 60.00
_cell_angle_beta 60.00
_cell_angle_gamma 60.00
loop_
_space_group_symop_operation_xyz
'x,y,z'
loop_
_atom_site_label
_atom_site_type_symbol
_atom_site_fract_x
_atom_site_fract_y
_atom_site_fract_z
Tb1 Tb 0.1250 0.1250 0.1250
Tb2 Tb 0.8750 0.8750 0.8750
Zr1 Zr 0.0000 0.5000 0.5000
Zr2 Zr 0.5000 0.0000 0.5000
Zr3 Zr 0.5000 0.5000 0.0000
Zr4 Zr 0.5000 0.5000 0.5000
O1 O 0.2581 0.2581 0.2581
O2 O 0.2581 0.2581 0.7256
O3 O 0.2581 0.7256 0.2581
O4 O 0.2744 0.7419 0.7419
O5 O 0.7256 0.2581 0.2581
O6 O 0.7419 0.2744 0.7419
O7 O 0.7419 0.7419 0.2744
O8 O 0.7419 0.7419 0.7419
```

Top 10 peaks for 2θ = 10–80°, in order of rising 2θ:
2θ (°)  I_rel
27.18  46
31.99  100
33.45  10
48.03  19
51.15  37
56.06  38
63.39  8
66.01  12
76.87  10
79.30  21